The following is a computed powder diffraction line list of Pm3B4C4. It was derived from the GGA-PBE geometry in Alexandria, using Cu Kα.
Intensities are scaled so that the largest is 100.

Cell and atoms:
```
data_Pm3B4C4
_chemical_formula_sum 'Pm6 B8 C8'
_symmetry_space_group_name_H-M 'I m m m'
_symmetry_Int_Tables_number 71
_symmetry_space_group_name_Hall '-I 2 2'
_cell_length_a 3.9293
_cell_length_b 5.1340
_cell_length_c 13.7328
_cell_angle_alpha 90.00
_cell_angle_beta 90.00
_cell_angle_gamma 90.00
loop_
_atom_site_label
_atom_site_fract_x
_atom_site_fract_y
_atom_site_fract_z
_atom_site_occupancy
Pm1 0.0000 0.0000 0.0000 1
Pm2 0.0000 0.5000 0.1970 1
B1 0.0000 0.3278 0.3994 1
C1 0.0000 0.0000 0.1740 1
C2 0.0000 0.1482 0.5000 1
```

Principal peaks in the range 2θ from 10° to 90°, by intensity:
Position (°2θ)  Rel. int.
31.49  100
26.08  72
40.05  40
54.19  30
23.55  30
34.95  26
53.82  24
42.58  23
61.67  17
46.21  16
60.53  14
49.75  12